(1)
This entry pairs a crystal structure of Li4Co2Ni3O10 with its computed powder XRD pattern. Radiation: Cu Kα X-rays. Structure: the GGA+U geometry in the Materials Project.
Neutral-atom scattering factors, no anomalous dispersion.

Top 12 peaks for 2θ = 10–80°, in order of rising 2θ:
12.87 deg, intensity 100, (0 0 1); 18.66 deg, intensity 53, (0 1 0); 18.94 deg, intensity 97, (1 0 -1); 23.04 deg, intensity 37, (1 -1 0); 27.32 deg, intensity 46, (0 1 -2); 36.31 deg, intensity 29, (0 2 -1); 38.43 deg, intensity 29, (2 0 -2); 44.11 deg, intensity 70, (-1 1 3); 44.26 deg, intensity 74, (2 -1 1); 44.70 deg, intensity 69, (1 2 -2); 63.90 deg, intensity 21, (0 3 1); 64.76 deg, intensity 20, (1 0 4)

```
data_Li4Co2Ni3O10
_space_group_name_H-M_alt 'P -1'
_space_group_IT_number 2
_space_group_name_Hall '-P 1'
_cell_length_a 4.9928
_cell_length_b 5.0536
_cell_length_c 7.5808
_cell_angle_alpha 101.70
_cell_angle_beta 108.81
_cell_angle_gamma 100.99
loop_
_atom_site_label
_atom_site_type_symbol
_atom_site_fract_x
_atom_site_fract_y
_atom_site_fract_z
Li1 Li 0.0902 0.2741 0.0922
Li2 Li 0.3053 0.8903 0.2803
Co1 Co 0.3056 0.3968 0.8091
Ni1 Ni 0.1042 0.8043 0.6038
Ni2 Ni 0.5000 0.5000 0.5000
O1 O 0.0787 0.5531 0.3479
O2 O 0.1000 0.0746 0.8318
O3 O 0.2991 0.1760 0.5616
O4 O 0.3249 0.6118 0.0486
O5 O 0.4768 0.7134 0.7311
```

(2)
This entry pairs a crystal structure of MgCo6O8F4 with its computed powder XRD pattern. Radiation: Cu Kα X-rays. Structure: the GGA+U geometry in the Materials Project.
Neutral-atom scattering factors, no anomalous dispersion.

Top 12 peaks for 2θ = 10–80°, in order of rising 2θ:
19.46 deg, intensity 21, (1 1 1); 27.53 deg, intensity 100, (1 1 2); 28.65 deg, intensity 49, (1 -1 0); 34.25 deg, intensity 29, (0 1 -2); 34.56 deg, intensity 19, (0 2 1); 34.91 deg, intensity 26, (1 0 -2); 35.18 deg, intensity 31, (2 0 1); 38.11 deg, intensity 18, (1 2 -1); 38.70 deg, intensity 27, (2 2 0); 38.98 deg, intensity 17, (2 1 -1); 55.14 deg, intensity 16, (0 1 4); 59.32 deg, intensity 25, (2 -2 0)

```
data_MgCo6O8F4
_space_group_name_H-M_alt 'P 1'
_space_group_IT_number 1
_space_group_name_Hall 'P 1'
_cell_length_a 5.7492
_cell_length_b 5.8909
_cell_length_c 7.0151
_cell_angle_alpha 74.73
_cell_angle_beta 73.85
_cell_angle_gamma 64.76
loop_
_atom_site_label
_atom_site_type_symbol
_atom_site_fract_x
_atom_site_fract_y
_atom_site_fract_z
Mg1 Mg 0.0000 0.0000 0.0000
Co1 Co 0.0223 0.4798 0.1682
Co2 Co 0.1310 0.5552 0.6519
Co3 Co 0.4333 0.8858 0.3420
Co4 Co 0.5372 0.9753 0.8223
Co5 Co 0.5715 0.4401 0.9924
Co6 Co 0.7789 0.2292 0.4962
O1 O 0.0959 0.9393 0.4874
O2 O 0.2133 0.2048 0.8236
O3 O 0.3618 0.2625 0.1581
O4 O 0.4667 0.5168 0.5007
O5 O 0.7327 0.1765 0.7996
O6 O 0.7666 0.6363 0.8297
O7 O 0.7745 0.8025 0.1720
O8 O 0.8279 0.2788 0.1924
F1 F 0.2182 0.6737 0.8654
F2 F 0.3288 0.7823 0.1259
F3 F 0.5810 0.9973 0.5224
F4 F 0.9907 0.4488 0.4689
```

(3)
This entry pairs a crystal structure of Li4CoCu3P4O16 with its computed powder XRD pattern. Radiation: Cu Kα X-rays. Structure: the GGA+U geometry in the Materials Project.
Neutral-atom scattering factors, no anomalous dispersion.

Top 12 peaks for 2θ = 10–80°, in order of rising 2θ:
17.70 deg, intensity 60, (0 0 2); 20.62 deg, intensity 50, (1 0 -1); 20.83 deg, intensity 34, (1 0 1); 25.34 deg, intensity 66, (1 1 -1); 25.51 deg, intensity 70, (1 1 1); 29.37 deg, intensity 100, (0 2 0); 35.86 deg, intensity 64, (1 1 -3); 36.22 deg, intensity 93, (1 1 3); 38.89 deg, intensity 42, (0 1 4); 52.02 deg, intensity 27, (2 2 -2); 52.43 deg, intensity 29, (2 2 2); 57.18 deg, intensity 28, (0 1 6)

```
data_Li4CoCu3P4O16
_space_group_name_H-M_alt 'P 1 m 1'
_space_group_IT_number 6
_space_group_name_Hall 'P -2y'
_cell_length_a 4.7409
_cell_length_b 6.0817
_cell_length_c 10.0249
_cell_angle_alpha 90.00
_cell_angle_beta 90.76
_cell_angle_gamma 90.00
loop_
_atom_site_label
_atom_site_type_symbol
_atom_site_fract_x
_atom_site_fract_y
_atom_site_fract_z
Li1 Li 0.0000 0.2491 0.0000
Li2 Li 0.4945 0.2505 0.5046
Co1 Co 0.4767 0.0000 0.2225
Cu1 Cu 0.0382 0.0000 0.7179
Cu2 Cu 0.5366 0.5000 0.7868
Cu3 Cu 0.9446 0.5000 0.2849
P1 P 0.0735 0.5000 0.5963
P2 P 0.4177 0.5000 0.0981
P3 P 0.5799 0.0000 0.9048
P4 P 0.9143 0.0000 0.4069
O1 O 0.1822 0.5000 0.4495
O2 O 0.2157 0.2967 0.6655
O3 O 0.2373 0.0000 0.4023
O4 O 0.2539 0.0000 0.8988
O5 O 0.2835 0.2939 0.1641
O6 O 0.3045 0.5000 0.9501
O7 O 0.6999 0.0000 0.0501
O8 O 0.7164 0.2040 0.8349
O9 O 0.7455 0.5000 0.1037
O10 O 0.7481 0.5000 0.6022
O11 O 0.7698 0.2016 0.3360
O12 O 0.7998 0.0000 0.5525
```

(4)
This entry pairs a crystal structure of Tl2V8O21 with its computed powder XRD pattern. Radiation: Cu Kα X-rays. Structure: the GGA+U geometry in the Materials Project.
Neutral-atom scattering factors, no anomalous dispersion.

Top 12 peaks for 2θ = 10–80°, in order of rising 2θ:
16.26 deg, intensity 85, (2 0 -2); 17.41 deg, intensity 57, (0 0 3); 20.85 deg, intensity 83, (2 0 3); 25.70 deg, intensity 100, (4 0 -2); 25.88 deg, intensity 76, (1 1 1); 27.82 deg, intensity 84, (1 1 2); 28.92 deg, intensity 58, (4 0 3); 29.22 deg, intensity 57, (0 0 5); 30.65 deg, intensity 67, (3 1 1); 30.79 deg, intensity 82, (1 1 -3); 42.16 deg, intensity 71, (6 0 -4); 42.43 deg, intensity 68, (4 0 6)

```
data_Tl2V8O21
_space_group_name_H-M_alt 'C 1 2/m 1'
_space_group_IT_number 12
_space_group_name_Hall '-C 2y'
_cell_length_a 15.5433
_cell_length_b 3.6287
_cell_length_c 15.2838
_cell_angle_alpha 90.00
_cell_angle_beta 90.08
_cell_angle_gamma 90.00
loop_
_atom_site_label
_atom_site_type_symbol
_atom_site_fract_x
_atom_site_fract_y
_atom_site_fract_z
Tl1 Tl 0.0260 0.0000 0.3125
V1 V 0.0927 0.5000 0.9281
V2 V 0.1713 0.5000 0.5251
V3 V 0.1885 0.0000 0.0711
V4 V 0.1921 0.5000 0.7337
O1 O 0.0000 0.5000 0.0000
O2 O 0.0500 0.5000 0.8295
O3 O 0.0949 0.5000 0.4514
O4 O 0.1128 0.0000 0.1437
O5 O 0.1184 0.0000 0.9547
O6 O 0.1195 0.5000 0.6283
O7 O 0.1664 0.0000 0.7432
O8 O 0.1941 0.5000 0.0334
O9 O 0.2105 0.0000 0.5290
O10 O 0.2120 0.0000 0.3089
O11 O 0.2146 0.5000 0.8618
```